Structure and theoretical XRD peak list of Bi2Pd3Se2 (a GGA-PBE-relaxed structure; copper Kα).
No peak broadening, texture or thermal motion is included.

Main lines, in order of rising 2θ (15° ≤ 2θ ≤ 90°):
29.36 deg, intensity 86; 29.53 deg, intensity 94; 29.92 deg, intensity 50; 33.01 deg, intensity 36; 35.84 deg, intensity 100; 36.67 deg, intensity 97; 41.85 deg, intensity 55; 42.16 deg, intensity 61; 42.34 deg, intensity 57; 61.28 deg, intensity 32

Crystal structure
Cell: 7.3523 7.3523 8.5439 Å, 124.15 124.15 71.34°
Atoms (fractional coordinates):
Bi1 0.2150 0.2150 0.1966
Bi2 0.2506 0.2506 0.7589
Bi3 0.7494 0.7494 0.2411
Bi4 0.7850 0.7850 0.8034
Pd1 0.0000 0.5000 0.0000
Pd2 0.0249 0.0249 0.3015
Pd3 0.2771 0.7229 0.0000
Pd4 0.5000 0.0000 0.0000
Pd5 0.7229 0.2771 0.0000
Pd6 0.9751 0.9751 0.6985
Se1 0.2573 0.6778 0.6787
Se2 0.3222 0.7427 0.3213
Se3 0.6778 0.2573 0.6787
Se4 0.7427 0.3222 0.3213

***

Structure and theoretical XRD peak list of BaH2SeS4O6 (a GGA-PBE-relaxed structure; copper Kα).
No peak broadening, texture or thermal motion is included.

Main lines, in order of rising 2θ (15° ≤ 2θ ≤ 90°):
19.28 deg, intensity 100; 20.41 deg, intensity 72; 21.06 deg, intensity 76; 22.17 deg, intensity 29; 25.34 deg, intensity 85; 28.71 deg, intensity 37; 30.98 deg, intensity 49; 33.18 deg, intensity 35; 33.64 deg, intensity 25; 47.43 deg, intensity 27

Crystal structure
Cell: 5.2743 10.3296 23.1006 Å, 90.00 90.00 90.00°
Atoms (fractional coordinates):
Ba1 0.2137 0.2500 0.0461
Ba2 0.2863 0.7500 0.5461
Ba3 0.7137 0.2500 0.4539
Ba4 0.7863 0.7500 0.9539
H1 0.1736 0.7500 0.6667
H2 0.2332 0.2500 0.5141
H3 0.2668 0.7500 0.0141
H4 0.3264 0.2500 0.1667
H5 0.6736 0.7500 0.8333
H6 0.7332 0.2500 0.9859
H7 0.7668 0.7500 0.4859
H8 0.8264 0.2500 0.3333
Se1 0.0459 0.2500 0.6778
Se2 0.4541 0.7500 0.1778
Se3 0.5459 0.2500 0.8222
Se4 0.9541 0.7500 0.3222
S1 0.1896 0.5112 0.4107
S2 0.1896 0.9888 0.4107
S3 0.2080 0.5808 0.3233
S4 0.2080 0.9192 0.3233
S5 0.2920 0.0808 0.8233
S6 0.2920 0.4192 0.8233
S7 0.3104 0.0112 0.9107
S8 0.3104 0.4888 0.9107
S9 0.6896 0.5112 0.0893
S10 0.6896 0.9888 0.0893
S11 0.7080 0.5808 0.1767
S12 0.7080 0.9192 0.1767
S13 0.7920 0.0808 0.6767
S14 0.7920 0.4192 0.6767
S15 0.8104 0.0112 0.5893
S16 0.8104 0.4888 0.5893
O1 0.0801 0.5090 0.5756
O2 0.0801 0.9910 0.5756
O3 0.1704 0.6118 0.9042
O4 0.1704 0.8882 0.9042
O5 0.1863 0.1047 0.9488
O6 0.1863 0.3953 0.9488
O7 0.3137 0.6047 0.4488
O8 0.3137 0.8953 0.4488
O9 0.3296 0.1118 0.4042
O10 0.3296 0.3882 0.4042
O11 0.4199 0.0090 0.0756
O12 0.4199 0.4910 0.0756
O13 0.5801 0.5090 0.9244
O14 0.5801 0.9910 0.9244
O15 0.6704 0.6118 0.5958
O16 0.6704 0.8882 0.5958
O17 0.6863 0.1047 0.5512
O18 0.6863 0.3953 0.5512
O19 0.8137 0.6047 0.0512
O20 0.8137 0.8953 0.0512
O21 0.8296 0.1118 0.0958
O22 0.8296 0.3882 0.0958
O23 0.9199 0.0090 0.4244
O24 0.9199 0.4910 0.4244

***

Structure and theoretical XRD peak list of AgBiPbS3 (a GGA-PBE-relaxed structure; copper Kα).
No peak broadening, texture or thermal motion is included.

Main lines, in order of rising 2θ (15° ≤ 2θ ≤ 90°):
26.65 deg, intensity 87; 30.86 deg, intensity 100; 44.21 deg, intensity 74; 52.37 deg, intensity 45; 54.89 deg, intensity 26; 64.30 deg, intensity 12; 70.87 deg, intensity 15; 73.01 deg, intensity 28; 81.32 deg, intensity 17; 87.43 deg, intensity 9

Crystal structure
Cell: 7.0925 7.0925 7.0925 Å, 146.41 131.75 60.08°
Atoms (fractional coordinates):
Ag1 0.0000 0.0000 0.0000
Bi1 0.6674 0.6674 0.0000
Pb1 0.3320 0.3320 0.0000
S1 0.1594 0.6594 0.5000
S2 0.5107 0.0107 0.5000
S3 0.8312 0.3312 0.5000

***

Structure and theoretical XRD peak list of Zn3Rh (a GGA-PBE-relaxed structure; copper Kα).
No peak broadening, texture or thermal motion is included.

Main lines, in order of rising 2θ (15° ≤ 2θ ≤ 90°):
27.71 deg, intensity 4; 38.15 deg, intensity 24; 40.99 deg, intensity 27; 43.53 deg, intensity 100; 57.23 deg, intensity 14; 68.96 deg, intensity 16; 76.42 deg, intensity 17; 83.46 deg, intensity 18; 85.18 deg, intensity 13; 88.88 deg, intensity 3

Crystal structure
Cell: 5.4471 5.4471 4.4042 Å, 90.00 90.00 120.00°
Atoms (fractional coordinates):
Zn1 0.1681 0.3362 0.2500
Zn2 0.1681 0.8319 0.2500
Zn3 0.3362 0.1681 0.7500
Zn4 0.6638 0.8319 0.2500
Zn5 0.8319 0.1681 0.7500
Zn6 0.8319 0.6638 0.7500
Rh1 0.3333 0.6667 0.7500
Rh2 0.6667 0.3333 0.2500

***

Structure and theoretical XRD peak list of Li3LaBi2 (a GGA-PBE-relaxed structure; copper Kα).
No peak broadening, texture or thermal motion is included.

Main lines, in order of rising 2θ (15° ≤ 2θ ≤ 90°):
24.54 deg, intensity 100; 32.06 deg, intensity 44; 37.69 deg, intensity 38; 41.95 deg, intensity 25; 44.90 deg, intensity 11; 45.49 deg, intensity 20; 50.30 deg, intensity 13; 60.51 deg, intensity 17; 62.65 deg, intensity 16; 64.53 deg, intensity 12

Crystal structure
Cell: 4.7728 4.7728 7.5706 Å, 90.00 90.00 120.00°
Atoms (fractional coordinates):
Li1 0.0000 0.0000 0.0000
Li2 0.3333 0.6667 0.1474
Li3 0.6667 0.3333 0.8526
La1 0.0000 0.0000 0.5000
Bi1 0.3333 0.6667 0.7537
Bi2 0.6667 0.3333 0.2463

***

Structure and theoretical XRD peak list of TiInPt2 (a GGA-PBE-relaxed structure; copper Kα).
No peak broadening, texture or thermal motion is included.

Main lines, in order of rising 2θ (15° ≤ 2θ ≤ 90°):
26.90 deg, intensity 8; 27.54 deg, intensity 22; 30.72 deg, intensity 16; 38.88 deg, intensity 100; 39.34 deg, intensity 55; 56.85 deg, intensity 19; 58.00 deg, intensity 11; 70.09 deg, intensity 11; 71.02 deg, intensity 34; 77.86 deg, intensity 9

Crystal structure
Cell: 3.2390 3.2390 6.6282 Å, 90.00 90.00 90.00°
Atoms (fractional coordinates):
Ti1 0.0000 0.0000 0.0000
In1 0.0000 0.0000 0.5000
Pt1 0.5000 0.5000 0.2157
Pt2 0.5000 0.5000 0.7843

***

Which formula does entry 5 have? Li3LaBi2